No. 1
The following is a computed powder diffraction line list of LiNi3N. It was derived from DFT lattice parameters and positions (PBE), using Cu Ka.

Main lines, sorted by position (2θ = 10–90°):
index, two_theta, Rel. int.
1 0 0, 23.81, 55
1 1 0, 33.92, 17
1 1 1, 41.86, 100
2 0 0, 48.73, 60
2 1 0, 54.93, 18
2 1 1, 60.69, 6
2 2 0, 71.38, 34
3 0 0, 76.46, 8
3 1 0, 81.43, 3
3 1 1, 86.33, 33

Atomic structure:
```
data_LiNi3N
_space_group_name_H-M_alt 'P m -3 m'
_space_group_IT_number 221
_space_group_name_Hall '-P 4 2 3'
_cell_length_a 3.7375
_cell_length_b 3.7375
_cell_length_c 3.7375
_cell_angle_alpha 90.00
_cell_angle_beta 90.00
_cell_angle_gamma 90.00
loop_
_atom_site_label
_atom_site_fract_x
_atom_site_fract_y
_atom_site_fract_z
_atom_site_occupancy
Li1 0.0000 0.0000 0.0000 1
Ni1 0.0000 0.5000 0.5000 1
N1 0.5000 0.5000 0.5000 1
```



No. 2
The following is a computed powder diffraction line list of CaSbPd4. It was derived from DFT lattice parameters and positions (PBE), using Cu Ka.

Main lines, sorted by position (2θ = 10–90°):
index, two_theta, Rel. int.
0 0 1, 12.35, 33
1 0 1, 16.79, 23
2 1 1, 33.92, 56
1 1 2, 35.03, 14
0 0 3, 37.66, 18
1 0 3, 39.46, 12
2 1 2, 40.50, 100
3 1 1, 42.91, 26
0 2 0, 43.63, 30
4 0 0, 46.51, 16
4 2 0, 65.67, 11
2 3 2, 78.01, 17

Atomic structure:
```
data_CaSbPd4
_space_group_name_H-M_alt 'P m m a'
_space_group_IT_number 51
_space_group_name_Hall '-P 2a 2a'
_cell_length_a 7.8105
_cell_length_b 4.1488
_cell_length_c 7.1648
_cell_angle_alpha 90.00
_cell_angle_beta 90.00
_cell_angle_gamma 90.00
loop_
_atom_site_label
_atom_site_fract_x
_atom_site_fract_y
_atom_site_fract_z
_atom_site_occupancy
Ca1 0.2500 0.0000 0.1644 1
Sb1 0.2500 0.0000 0.7377 1
Pd1 0.0000 0.0000 0.5000 1
Pd2 0.0428 0.5000 0.8015 1
Pd3 0.2500 0.5000 0.4561 1
```



No. 3
The following is a computed powder diffraction line list of Ac2PaSi3O12. It was derived from DFT lattice parameters and positions (PBE), using Cu Ka.

Main lines, sorted by position (2θ = 10–90°):
index, two_theta, Rel. int.
0 0 3, 17.00, 25
0 1 2, 18.97, 39
1 1 0, 26.44, 100
1 1 3, 31.61, 84
0 1 5, 32.46, 65
2 0 5, 42.35, 42
1 2 2, 42.57, 20
3 0 0, 46.68, 21
0 3 3, 50.03, 26
1 2 5, 50.62, 39
2 2 0, 54.45, 30
3 1 5, 64.84, 22

Atomic structure:
```
data_Ac2PaSi3O12
_space_group_name_H-M_alt 'R -3 m'
_space_group_IT_number 166
_space_group_name_Hall '-R 3 2"'
_cell_length_a 6.7409
_cell_length_b 6.7409
_cell_length_c 15.6452
_cell_angle_alpha 90.00
_cell_angle_beta 90.00
_cell_angle_gamma 120.00
loop_
_atom_site_label
_atom_site_fract_x
_atom_site_fract_y
_atom_site_fract_z
_atom_site_occupancy
Ac1 0.0000 0.0000 0.1112 1
Pa1 0.0000 0.0000 0.5000 1
Si1 0.0000 0.5000 0.0000 1
O1 0.0377 0.5189 0.8863 1
O2 0.0775 0.5388 0.3144 1
```



No. 4
The following is a computed powder diffraction line list of Tl3ZnCu2F9. It was derived from DFT lattice parameters and positions (PBE), using Cu Ka.

Main lines, sorted by position (2θ = 10–90°):
index, two_theta, Rel. int.
1 0 1, 21.30, 22
1 1 0, 30.30, 100
0 2 1, 37.34, 22
2 0 2, 43.39, 32
2 1 1, 48.82, 11
3 0 0, 53.84, 41
2 2 0, 63.03, 20
3 0 3, 67.35, 6
3 1 2, 71.53, 18
4 0 1, 75.61, 8
0 4 2, 79.62, 7
4 1 0, 87.50, 22

Atomic structure:
```
data_Tl3ZnCu2F9
_space_group_name_H-M_alt 'P -3 m 1'
_space_group_IT_number 164
_space_group_name_Hall '-P 3 2"'
_cell_length_a 5.9003
_cell_length_b 5.9003
_cell_length_c 7.2212
_cell_angle_alpha 90.00
_cell_angle_beta 90.00
_cell_angle_gamma 120.00
loop_
_atom_site_label
_atom_site_fract_x
_atom_site_fract_y
_atom_site_fract_z
_atom_site_occupancy
Tl1 0.0000 0.0000 0.0000 1
Tl2 0.3333 0.6667 0.6646 1
Zn1 0.0000 0.0000 0.5000 1
Cu1 0.3333 0.6667 0.1633 1
F1 0.0000 0.5000 0.0000 1
F2 0.1670 0.3340 0.3320 1
```



No. 5
The following is a computed powder diffraction line list of Rb2Pu3Cl9. It was derived from DFT lattice parameters and positions (PBE), using Cu Ka.

Main lines, sorted by position (2θ = 10–90°):
index, two_theta, Rel. int.
0 0 2, 15.30, 56
3 1 -1, 20.03, 100
0 2 2, 25.27, 75
3 1 -3, 25.35, 37
0 0 4, 30.88, 37
6 0 -2, 35.06, 94
3 1 3, 37.04, 40
3 1 -5, 37.15, 20
6 2 0, 43.70, 19
3 3 3, 47.35, 21
6 0 -6, 47.48, 27
0 2 6, 51.59, 18

Atomic structure:
```
data_Rb2Pu3Cl9
_space_group_name_H-M_alt 'C 1 2/c 1'
_space_group_IT_number 15
_space_group_name_Hall '-C 2yc'
_cell_length_a 15.3643
_cell_length_b 8.8620
_cell_length_c 12.6451
_cell_angle_alpha 90.00
_cell_angle_beta 113.62
_cell_angle_gamma 90.00
loop_
_atom_site_label
_atom_site_fract_x
_atom_site_fract_y
_atom_site_fract_z
_atom_site_occupancy
Rb1 0.1619 0.0805 0.2486 1
Pu1 0.0796 0.2661 0.5001 1
Pu2 0.2500 0.2500 0.0000 1
Cl1 0.0000 0.2906 0.2500 1
Cl2 0.0620 0.0740 0.9367 1
Cl3 0.1087 0.4098 0.0647 1
Cl4 0.1534 0.2699 0.7501 1
Cl5 0.2343 0.4139 0.4424 1
```



No. 6
The following is a computed powder diffraction line list of Cs2In2Sb2S. It was derived from DFT lattice parameters and positions (PBE), using Cu Ka.

Main lines, sorted by position (2θ = 10–90°):
index, two_theta, Rel. int.
2 0 -1, 12.83, 16
4 0 -1, 23.83, 19
4 0 -2, 25.83, 27
4 0 0, 26.57, 35
1 1 -2, 27.75, 100
3 1 0, 27.97, 67
2 0 2, 30.01, 21
1 1 -3, 36.19, 15
0 2 0, 39.63, 32
5 1 -3, 40.36, 27
3 1 2, 40.83, 26
7 1 0, 51.71, 15

Atomic structure:
```
data_Cs2In2Sb2S
_space_group_name_H-M_alt 'C 1 2/m 1'
_space_group_IT_number 12
_space_group_name_Hall '-C 2y'
_cell_length_a 14.9458
_cell_length_b 4.5496
_cell_length_c 9.1818
_cell_angle_alpha 90.00
_cell_angle_beta 116.07
_cell_angle_gamma 90.00
loop_
_atom_site_label
_atom_site_fract_x
_atom_site_fract_y
_atom_site_fract_z
_atom_site_occupancy
Cs1 0.0166 0.0000 0.2355 1
In1 0.1944 0.5000 0.6629 1
Sb1 0.2188 0.5000 0.0777 1
S1 0.0000 0.5000 0.5000 1
```